This entry pairs a crystal structure of BaFePPt with its calculated PXRD pattern. Radiation: CuKα. Structure: a structure optimized by DFT (PBE).
No peak broadening, texture or thermal motion is included.

Peak list (12 most intense, 2θ from 15° to 90°, in order of rising 2θ)
(0 0 2), 5.732 Å, rel. 27.5
(1 0 1), 3.628 Å, rel. 26.6
(0 0 4), 2.866 Å, rel. 34.1
(1 0 3), 2.703 Å, rel. 27.0
(1 1 1), 2.632 Å, rel. 18.4
(1 1 2), 2.446 Å, rel. 100.0
(1 1 3), 2.207 Å, rel. 15.5
(1 1 4), 1.967 Å, rel. 13.9
(2 0 0), 1.912 Å, rel. 31.1
(2 0 4), 1.591 Å, rel. 23.4
(1 1 6), 1.561 Å, rel. 34.7
(3 1 2), 1.183 Å, rel. 20.8

Cell and atoms:
Cell: 3.8243 3.8243 11.4646 Å, 90.00 90.00 90.00°
Space group P4/nmm (No. 129, origin choice 2)
Unique sites:
Ba: 0.2500 0.2500 0.2325 [2 per cell]
Fe: 0.2500 0.7500 0.5000 [2 per cell]
P: 0.2500 0.2500 0.5975 [2 per cell]
Pt: 0.2500 0.7500 0.0000 [2 per cell]



This entry pairs a crystal structure of BaFe2Pd2 with its calculated PXRD pattern. Radiation: CuKα. Structure: a structure optimized by DFT (PBE).
No peak broadening, texture or thermal motion is included.

Peak list (12 most intense, 2θ from 15° to 90°, in order of rising 2θ)
(2 1 0), 3.539 Å, rel. 23.3
(2 2 0), 2.798 Å, rel. 39.0
(1 1 1), 2.632 Å, rel. 15.6
(3 1 0), 2.502 Å, rel. 91.0
(2 0 1), 2.381 Å, rel. 89.8
(2 1 1), 2.280 Å, rel. 100.0
(3 2 0), 2.195 Å, rel. 14.6
(4 1 0), 1.919 Å, rel. 32.4
(4 1 1), 1.614 Å, rel. 14.7
(3 3 1), 1.581 Å, rel. 31.9
(5 1 1), 1.377 Å, rel. 31.4
(3 1 2), 1.281 Å, rel. 21.2

Cell and atoms:
Cell: 7.9130 7.9130 2.9821 Å, 90.00 90.00 90.00°
Space group P4/mbm (No. 127)
Unique sites:
Ba: 0.0000 0.0000 0.0000 [2 per cell]
Fe: 0.1061 0.3939 0.0000 [4 per cell]
Pd: 0.1747 0.6747 0.5000 [4 per cell]



This entry pairs a crystal structure of Ba2FeRh with its calculated PXRD pattern. Radiation: CuKα. Structure: a structure optimized by DFT (PBE).
No peak broadening, texture or thermal motion is included.

Peak list (12 most intense, 2θ from 15° to 90°, in order of rising 2θ)
(1 0 1), 3.363 Å, rel. 100.0
(0 0 3), 3.144 Å, rel. 40.3
(1 0 2), 2.861 Å, rel. 42.3
(1 1 0), 2.545 Å, rel. 81.1
(1 0 3), 2.368 Å, rel. 57.1
(1 1 3), 1.978 Å, rel. 42.2
(2 0 0), 1.800 Å, rel. 28.1
(1 1 4), 1.730 Å, rel. 20.3
(2 1 1), 1.587 Å, rel. 22.2
(1 0 6), 1.441 Å, rel. 24.2
(2 1 3), 1.433 Å, rel. 23.0
(2 1 6), 1.125 Å, rel. 22.1

Cell and atoms:
Cell: 3.5993 3.5993 9.4318 Å, 90.00 90.00 90.00°
Space group P4mm (No. 99)
Unique sites:
Ba: 0.0000 0.0000 0.0000 [1 per cell]
Ba: 0.5000 0.5000 0.4223 [1 per cell]
Fe: 0.0000 0.0000 0.6813 [1 per cell]
Rh: 0.5000 0.5000 0.7381 [1 per cell]



This entry pairs a crystal structure of Ba5Fe4S11 with its calculated PXRD pattern. Radiation: CuKα. Structure: a structure optimized by DFT (PBE).
No peak broadening, texture or thermal motion is included.

Peak list (12 most intense, 2θ from 15° to 90°, in order of rising 2θ)
(3 1 1), 3.883 Å, rel. 100.0
(0 1 2), 3.825 Å, rel. 43.1
(0 2 0), 3.716 Å, rel. 74.4
(4 1 0), 3.501 Å, rel. 38.5
(1 0 3), 2.923 Å, rel. 26.2
(3 2 1), 2.879 Å, rel. 43.5
(5 1 1), 2.775 Å, rel. 54.3
(2 2 2), 2.687 Å, rel. 41.3
(6 0 0), 2.646 Å, rel. 26.2
(3 0 3), 2.592 Å, rel. 34.9
(3 3 1), 2.176 Å, rel. 27.6
(5 0 3), 2.168 Å, rel. 33.1

Cell and atoms:
Cell: 15.8770 7.4327 8.9210 Å, 90.00 90.00 90.00°
Space group Pmn2_1 (No. 31)
Unique sites:
Ba: 0.0000 0.0151 0.0000 [2 per cell]
Ba: 0.1717 0.4850 0.2470 [4 per cell]
Ba: 0.1996 0.9851 0.6182 [4 per cell]
Fe: 0.0000 0.6686 0.5728 [2 per cell]
Fe: 0.0000 0.9686 0.3896 [2 per cell]
Fe: 0.1078 0.5084 0.8477 [4 per cell]
S: 0.0000 0.4600 0.9991 [2 per cell]
S: 0.0000 0.6708 0.3259 [2 per cell]
S: 0.0000 0.9639 0.6461 [2 per cell]
S: 0.1199 0.0789 0.2946 [4 per cell]
S: 0.1289 0.5516 0.6015 [4 per cell]
S: 0.1714 0.7480 0.9472 [4 per cell]
S: 0.1803 0.2587 0.8948 [4 per cell]



This entry pairs a crystal structure of BaFe2S4 with its calculated PXRD pattern. Radiation: CuKα. Structure: a structure optimized by DFT (PBE).
No peak broadening, texture or thermal motion is included.

Peak list (12 most intense, 2θ from 15° to 90°, in order of rising 2θ)
(1 0 1), 4.231 Å, rel. 37.3
(2 0 0), 3.816 Å, rel. 61.2
(1 2 1), 2.834 Å, rel. 100.0
(2 2 0), 2.699 Å, rel. 31.3
(1 1 2), 2.299 Å, rel. 33.4
(3 1 2), 1.750 Å, rel. 57.7
(2 4 0), 1.707 Å, rel. 25.8
(1 2 3), 1.518 Å, rel. 13.8
(5 0 1), 1.462 Å, rel. 23.7
(1 5 2), 1.290 Å, rel. 10.4
(6 2 0), 1.206 Å, rel. 10.9
(5 0 3), 1.134 Å, rel. 10.8

Cell and atoms:
Cell: 7.6329 7.6329 5.0831 Å, 90.00 90.00 90.00°
Space group I4/m (No. 87)
Unique sites:
Ba: 0.0000 0.0000 0.0000 [2 per cell]
Fe: 0.0000 0.5000 0.2500 [4 per cell]
S: 0.1128 0.6944 0.5000 [8 per cell]



This entry pairs a crystal structure of Ba12FeSi3S20 with its calculated PXRD pattern. Radiation: CuKα. Structure: a structure optimized by DFT (PBE).
No peak broadening, texture or thermal motion is included.

Peak list (12 most intense, 2θ from 15° to 90°, in order of rising 2θ)
(1 2 1), 3.965 Å, rel. 55.1
(0 2 2), 3.758 Å, rel. 100.0
(1 0 -3), 3.666 Å, rel. 52.2
(1 0 3), 3.631 Å, rel. 50.6
(2 2 -1), 3.116 Å, rel. 60.1
(2 2 1), 3.101 Å, rel. 56.7
(1 2 -3), 2.913 Å, rel. 40.0
(1 0 4), 2.837 Å, rel. 32.6
(2 2 2), 2.826 Å, rel. 27.8
(3 1 -2), 2.525 Å, rel. 29.6
(0 4 0), 2.399 Å, rel. 50.8
(1 2 -5), 2.099 Å, rel. 38.5

Cell and atoms:
Cell: 8.6740 9.5961 12.0663 Å, 90.00 90.72 90.00°
Space group Pm (No. 6)
Unique sites:
Ba: 0.0000 0.0000 0.0000 [1 per cell]
Ba: 0.0246 0.2719 0.3002 [2 per cell]
Ba: 0.1854 0.2302 0.6676 [2 per cell]
Ba: 0.2082 0.5000 0.9633 [1 per cell]
Ba: 0.4873 0.5000 0.4610 [1 per cell]
Ba: 0.5183 0.2328 0.1612 [2 per cell]
Ba: 0.6784 0.2701 0.8012 [2 per cell]
Ba: 0.7152 0.0000 0.5045 [1 per cell]
Fe: 0.4131 0.0000 0.8887 [1 per cell]
Si: 0.2952 0.0000 0.3853 [1 per cell]
Si: 0.7939 0.5000 0.0800 [1 per cell]
Si: 0.9078 0.5000 0.5794 [1 per cell]
S: 0.0874 0.0000 0.4764 [1 per cell]
S: 0.1154 0.5000 0.4886 [1 per cell]
S: 0.2497 0.0000 0.2105 [1 per cell]
S: 0.2823 0.5000 0.2187 [1 per cell]
S: 0.2906 0.1928 0.9295 [2 per cell]
S: 0.4176 0.1839 0.4267 [2 per cell]
S: 0.4208 0.5000 0.7152 [1 per cell]
S: 0.4676 0.0000 0.7102 [1 per cell]
S: 0.5850 0.5000 0.9873 [1 per cell]
S: 0.6272 0.0000 0.9841 [1 per cell]
S: 0.7512 0.5000 0.2545 [1 per cell]
S: 0.7806 0.0000 0.2414 [1 per cell]
S: 0.7855 0.3160 0.5369 [2 per cell]
S: 0.9144 0.3151 0.0389 [2 per cell]
S: 0.9212 0.0000 0.7482 [1 per cell]
S: 0.9527 0.5000 0.7541 [1 per cell]



This entry pairs a crystal structure of BaTl2FeS with its calculated PXRD pattern. Radiation: CuKα. Structure: a structure optimized by DFT (PBE).
No peak broadening, texture or thermal motion is included.

Peak list (12 most intense, 2θ from 15° to 90°, in order of rising 2θ)
(1 1 0), 4.271 Å, rel. 6.6
(0 0 1), 4.251 Å, rel. 6.7
(2 0 0), 3.016 Å, rel. 100.0
(2 0 1), 2.462 Å, rel. 6.7
(2 2 0), 2.136 Å, rel. 14.6
(0 0 2), 2.125 Å, rel. 7.2
(3 1 1), 1.742 Å, rel. 25.2
(2 0 2), 1.738 Å, rel. 15.4
(2 2 2), 1.506 Å, rel. 9.6
(4 2 0), 1.350 Å, rel. 12.1
(5 1 1), 1.141 Å, rel. 6.5
(4 2 2), 1.140 Å, rel. 8.0

Cell and atoms:
Cell: 6.0404 6.0404 4.2506 Å, 90.00 90.00 90.00°
Space group P4/mmm (No. 123)
Unique sites:
Ba: 0.0000 0.0000 0.0000 [1 per cell]
Tl: 0.0000 0.5000 0.5000 [2 per cell]
Fe: 0.5000 0.5000 0.0000 [1 per cell]
S: 0.5000 0.5000 0.5000 [1 per cell]



This entry pairs a crystal structure of BaU4Fe3S12 with its calculated PXRD pattern. Radiation: CuKα. Structure: a structure optimized by DFT (PBE).
No peak broadening, texture or thermal motion is included.

Peak list (12 most intense, 2θ from 15° to 90°, in order of rising 2θ)
(2 0 0), 4.891 Å, rel. 34.1
(2 2 0), 3.458 Å, rel. 100.0
(4 0 0), 2.445 Å, rel. 26.2
(4 2 0), 2.187 Å, rel. 23.2
(4 2 2), 1.997 Å, rel. 62.4
(4 4 0), 1.729 Å, rel. 15.3
(6 2 0), 1.547 Å, rel. 23.2
(6 2 2), 1.475 Å, rel. 7.2
(6 2 4), 1.307 Å, rel. 24.8
(8 0 2), 1.186 Å, rel. 7.6
(6 6 0), 1.153 Å, rel. 19.6
(8 4 0), 1.094 Å, rel. 7.4

Cell and atoms:
Cell: 9.7819 9.7819 9.7819 Å, 90.00 90.00 90.00°
Space group Im-3 (No. 204)
Unique sites:
Ba: 0.0000 0.0000 0.0000 [2 per cell]
U: 0.2500 0.2500 0.2500 [8 per cell]
Fe: 0.0000 0.0000 0.5000 [6 per cell]
S: 0.0000 0.3183 0.1656 [24 per cell]



This entry pairs a crystal structure of Ba2ScFe with its calculated PXRD pattern. Radiation: CuKα. Structure: a structure optimized by DFT (PBE).
No peak broadening, texture or thermal motion is included.

Peak list (12 most intense, 2θ from 15° to 90°, in order of rising 2θ)
(2 0 -1), 4.319 Å, rel. 37.3
(2 0 0), 4.288 Å, rel. 30.1
(2 0 -2), 3.598 Å, rel. 47.0
(2 0 1), 3.544 Å, rel. 49.0
(1 1 0), 3.445 Å, rel. 43.4
(1 1 1), 3.116 Å, rel. 65.7
(0 0 3), 3.015 Å, rel. 43.7
(1 1 -2), 2.885 Å, rel. 100.0
(1 1 2), 2.616 Å, rel. 30.2
(3 1 -1), 2.320 Å, rel. 33.6
(4 0 -1), 2.217 Å, rel. 50.6
(3 1 1), 2.109 Å, rel. 28.7

Cell and atoms:
Cell: 8.8625 3.7617 9.3478 Å, 90.00 104.62 90.00°
Space group Cm (No. 8)
Unique sites:
Ba: 0.0000 0.0000 0.0000 [2 per cell]
Ba: 0.1515 0.0000 0.5822 [2 per cell]
Sc: 0.2964 0.5000 0.2926 [2 per cell]
Fe: 0.0134 0.5000 0.2894 [2 per cell]



This entry pairs a crystal structure of Ba3Fe3Se7 with its calculated PXRD pattern. Radiation: CuKα. Structure: a structure optimized by DFT (PBE).
No peak broadening, texture or thermal motion is included.

Peak list (12 most intense, 2θ from 15° to 90°, in order of rising 2θ)
(2 0 0), 4.843 Å, rel. 48.7
(2 0 1), 4.008 Å, rel. 35.9
(0 0 2), 3.568 Å, rel. 37.0
(2 1 1), 3.258 Å, rel. 73.7
(3 0 0), 3.229 Å, rel. 36.8
(3 0 1), 2.942 Å, rel. 49.5
(2 0 2), 2.873 Å, rel. 100.0
(2 2 0), 2.796 Å, rel. 78.1
(2 1 2), 2.555 Å, rel. 43.3
(3 1 1), 2.514 Å, rel. 31.9
(4 1 1), 2.027 Å, rel. 58.6
(5 2 1), 1.516 Å, rel. 30.0

Cell and atoms:
Cell: 11.1855 11.1855 7.1369 Å, 90.00 90.00 120.00°
Space group P6_3mc (No. 186)
Unique sites:
Ba: 0.1842 0.3684 0.0000 [6 per cell]
Fe: 0.2563 0.5126 0.4815 [6 per cell]
Se: 0.0926 0.5463 0.3058 [6 per cell]
Se: 0.1387 0.2773 0.5537 [6 per cell]
Se: 0.3333 0.6667 0.7510 [2 per cell]



This entry pairs a crystal structure of Ba9Fe4Se16 with its calculated PXRD pattern. Radiation: CuKα. Structure: a structure optimized by DFT (PBE).
No peak broadening, texture or thermal motion is included.

Peak list (12 most intense, 2θ from 15° to 90°, in order of rising 2θ)
(0 10 1), 3.223 Å, rel. 13.1
(4 2 -1), 3.120 Å, rel. 100.0
(1 11 -1), 3.115 Å, rel. 16.9
(0 6 2), 3.079 Å, rel. 10.1
(3 5 0), 3.053 Å, rel. 16.4
(3 5 -3), 3.008 Å, rel. 23.4
(3 9 -1), 2.988 Å, rel. 22.0
(4 6 -3), 2.773 Å, rel. 13.6
(5 3 -3), 2.674 Å, rel. 9.7
(3 11 -1), 2.646 Å, rel. 21.0
(4 6 -4), 2.295 Å, rel. 15.0
(2 0 2), 2.272 Å, rel. 10.1

Cell and atoms:
Cell: 14.0215 36.0886 9.9357 Å, 90.00 133.88 90.00°
Space group C2 (No. 5)
Unique sites:
Ba: 0.0000 0.0000 0.0000 [2 per cell]
Ba: 0.0000 0.2512 0.5000 [2 per cell]
Ba: 0.0839 0.8897 0.3321 [4 per cell]
Ba: 0.1086 0.7151 0.8753 [4 per cell]
Ba: 0.1096 0.5346 0.3703 [4 per cell]
Ba: 0.1287 0.3578 0.8290 [4 per cell]
Ba: 0.2093 0.1444 0.5763 [4 per cell]
Ba: 0.2095 0.1063 0.0769 [4 per cell]
Ba: 0.2319 0.9655 0.8454 [4 per cell]
Ba: 0.2365 0.2870 0.3299 [4 per cell]
Fe: 0.0389 0.2083 0.9090 [4 per cell]
Fe: 0.0401 0.0432 0.4110 [4 per cell]
Fe: 0.1255 0.4573 0.6624 [4 per cell]
Fe: 0.1269 0.7937 0.1764 [4 per cell]
Se: 0.0000 0.4957 0.0000 [2 per cell]
Se: 0.0000 0.7496 0.5000 [2 per cell]
Se: 0.0358 0.6156 0.8982 [4 per cell]
Se: 0.0364 0.6352 0.3992 [4 per cell]
Se: 0.0569 0.4410 0.3735 [4 per cell]
Se: 0.0715 0.8079 0.8928 [4 per cell]
Se: 0.0838 0.2712 0.8930 [4 per cell]
Se: 0.0915 0.9806 0.4030 [4 per cell]
Se: 0.0975 0.0787 0.2698 [4 per cell]
Se: 0.0967 0.1727 0.7689 [4 per cell]
Se: 0.1789 0.9228 0.1060 [4 per cell]
Se: 0.1812 0.0599 0.7357 [4 per cell]
Se: 0.1807 0.1919 0.2331 [4 per cell]
Se: 0.1852 0.5198 0.7740 [4 per cell]
Se: 0.1858 0.3306 0.5735 [4 per cell]
Se: 0.1881 0.7311 0.2828 [4 per cell]
Se: 0.2100 0.8759 0.7464 [4 per cell]



What did the fourth record say?
This entry pairs a crystal structure of Ba5Fe4S11 with its calculated PXRD pattern. Radiation: CuKα. Structure: a structure optimized by DFT (PBE).
No peak broadening, texture or thermal motion is included.

Peak list (12 most intense, 2θ from 15° to 90°, in order of rising 2θ)
(3 1 1), 3.883 Å, rel. 100.0
(0 1 2), 3.825 Å, rel. 43.1
(0 2 0), 3.716 Å, rel. 74.4
(4 1 0), 3.501 Å, rel. 38.5
(1 0 3), 2.923 Å, rel. 26.2
(3 2 1), 2.879 Å, rel. 43.5
(5 1 1), 2.775 Å, rel. 54.3
(2 2 2), 2.687 Å, rel. 41.3
(6 0 0), 2.646 Å, rel. 26.2
(3 0 3), 2.592 Å, rel. 34.9
(3 3 1), 2.176 Å, rel. 27.6
(5 0 3), 2.168 Å, rel. 33.1

Cell and atoms:
Cell: 15.8770 7.4327 8.9210 Å, 90.00 90.00 90.00°
Space group Pmn2_1 (No. 31)
Unique sites:
Ba: 0.0000 0.0151 0.0000 [2 per cell]
Ba: 0.1717 0.4850 0.2470 [4 per cell]
Ba: 0.1996 0.9851 0.6182 [4 per cell]
Fe: 0.0000 0.6686 0.5728 [2 per cell]
Fe: 0.0000 0.9686 0.3896 [2 per cell]
Fe: 0.1078 0.5084 0.8477 [4 per cell]
S: 0.0000 0.4600 0.9991 [2 per cell]
S: 0.0000 0.6708 0.3259 [2 per cell]
S: 0.0000 0.9639 0.6461 [2 per cell]
S: 0.1199 0.0789 0.2946 [4 per cell]
S: 0.1289 0.5516 0.6015 [4 per cell]
S: 0.1714 0.7480 0.9472 [4 per cell]
S: 0.1803 0.2587 0.8948 [4 per cell]